Starting from the PBE geometry in Alexandria, the powder diffraction line list of MnNbAl was simulated for CuKα.
Kinematic intensities with the Lorentz-polarization factor, no thermal factor.

Structural model:
Unit cell a=4.812 b=5.107 c=7.031 alpha=90.00 beta=90.00 gamma=90.00
Atoms (fractional coordinates):
Mn (0.250, 0.250, 0.250)
Mn (0.250, 0.750, 0.750)
Mn (0.750, 0.250, 0.250)
Mn (0.750, 0.750, 0.750)
Nb (0.000, 0.250, 0.626)
Nb (0.000, 0.750, 0.374)
Nb (0.500, 0.250, 0.874)
Nb (0.500, 0.750, 0.126)
Al (0.000, 0.000, 0.000)
Al (0.000, 0.500, 0.000)
Al (0.500, 0.000, 0.500)
Al (0.500, 0.500, 0.500)

Top 8 peaks for 2θ = 10–90°, by angle:
- 22.39 deg, I 30
- 35.14 deg, I 46
- 36.20 deg, I 100
- 42.07 deg, I 63
- 42.44 deg, I 51
- 42.92 deg, I 31
- 43.53 deg, I 99
- 76.84 deg, I 35

Starting from the PBE geometry in Alexandria, the powder diffraction line list of MnNb12Al3 was simulated for CuKα.
Kinematic intensities with the Lorentz-polarization factor, no thermal factor.

Structural model:
Unit cell a=5.190 b=5.193 c=10.333 alpha=90.00 beta=90.00 gamma=90.00
Atoms (fractional coordinates):
Mn (0.000, 0.000, 0.000)
Nb (0.000, 0.246, 0.244)
Nb (0.000, 0.246, 0.756)
Nb (0.000, 0.754, 0.244)
Nb (0.000, 0.754, 0.756)
Nb (0.245, 0.500, 0.000)
Nb (0.251, 0.500, 0.500)
Nb (0.500, 0.000, 0.120)
Nb (0.500, 0.000, 0.372)
Nb (0.500, 0.000, 0.628)
Nb (0.500, 0.000, 0.880)
Nb (0.749, 0.500, 0.500)
Nb (0.755, 0.500, 0.000)
Al (0.000, 0.000, 0.500)
Al (0.500, 0.500, 0.251)
Al (0.500, 0.500, 0.749)

Top 8 peaks for 2θ = 10–90°, by angle:
- 24.28 deg, I 27
- 34.55 deg, I 16
- 38.80 deg, I 100
- 38.94 deg, I 49
- 42.69 deg, I 34
- 42.80 deg, I 17
- 62.02 deg, I 21
- 85.80 deg, I 15

Starting from the PBE geometry in Alexandria, the powder diffraction line list of MnAl4Ni2 was simulated for CuKα.
Kinematic intensities with the Lorentz-polarization factor, no thermal factor.

Structural model:
Unit cell a=6.976 b=6.976 c=6.976 alpha=34.06 beta=34.06 gamma=34.06
Atoms (fractional coordinates):
Mn (0.000, 0.000, 0.000)
Al (0.129, 0.129, 0.129)
Al (0.383, 0.383, 0.383)
Al (0.617, 0.617, 0.617)
Al (0.871, 0.871, 0.871)
Ni (0.254, 0.254, 0.254)
Ni (0.746, 0.746, 0.746)

Top 8 peaks for 2θ = 10–90°, by angle:
- 13.49 deg, I 27
- 26.77 deg, I 24
- 31.13 deg, I 20
- 40.98 deg, I 15
- 44.34 deg, I 100
- 44.85 deg, I 91
- 64.91 deg, I 28
- 81.99 deg, I 28

Starting from the PBE geometry in Alexandria, the powder diffraction line list of MnAl6Ni5 was simulated for CuKα.
Kinematic intensities with the Lorentz-polarization factor, no thermal factor.

Structural model:
Unit cell a=6.468 b=6.468 c=5.795 alpha=90.00 beta=90.00 gamma=143.18
Atoms (fractional coordinates):
Mn (0.000, 0.000, 0.000)
Al (0.165, 0.835, 0.249)
Al (0.165, 0.835, 0.751)
Al (0.500, 0.500, 0.250)
Al (0.500, 0.500, 0.750)
Al (0.835, 0.165, 0.249)
Al (0.835, 0.165, 0.751)
Ni (0.000, 0.000, 0.500)
Ni (0.329, 0.671, 0.500)
Ni (0.332, 0.668, 0.000)
Ni (0.668, 0.332, 0.000)
Ni (0.671, 0.329, 0.500)

Top 8 peaks for 2θ = 10–90°, by angle:
- 30.91 deg, I 23
- 44.27 deg, I 100
- 54.97 deg, I 5
- 64.30 deg, I 5
- 64.46 deg, I 10
- 73.18 deg, I 4
- 81.45 deg, I 20
- 81.57 deg, I 10

Starting from the PBE geometry in Alexandria, the powder diffraction line list of MnAl5Ni4 was simulated for CuKα.
Kinematic intensities with the Lorentz-polarization factor, no thermal factor.

Structural model:
Unit cell a=2.869 b=2.869 c=14.912 alpha=90.00 beta=90.00 gamma=90.00
Atoms (fractional coordinates):
Mn (0.000, 0.000, 0.000)
Al (0.500, 0.500, 0.109)
Al (0.500, 0.500, 0.305)
Al (0.500, 0.500, 0.500)
Al (0.500, 0.500, 0.695)
Al (0.500, 0.500, 0.891)
Ni (0.000, 0.000, 0.207)
Ni (0.000, 0.000, 0.402)
Ni (0.000, 0.000, 0.598)
Ni (0.000, 0.000, 0.793)

Top 8 peaks for 2θ = 10–90°, by angle:
- 29.96 deg, I 12
- 31.17 deg, I 22
- 43.78 deg, I 100
- 44.66 deg, I 48
- 54.72 deg, I 8
- 65.01 deg, I 15
- 79.82 deg, I 14
- 81.69 deg, I 29

Starting from the PBE geometry in Alexandria, the powder diffraction line list of MnAl4Ni3 was simulated for CuKα.
Kinematic intensities with the Lorentz-polarization factor, no thermal factor.

Structural model:
Unit cell a=2.869 b=4.133 c=8.265 alpha=90.00 beta=90.00 gamma=90.00
Atoms (fractional coordinates):
Mn (0.000, 0.000, 0.000)
Al (0.500, 0.000, 0.253)
Al (0.500, 0.000, 0.747)
Al (0.500, 0.500, 0.000)
Al (0.500, 0.500, 0.500)
Ni (0.000, 0.000, 0.500)
Ni (0.000, 0.500, 0.249)
Ni (0.000, 0.500, 0.751)

Top 8 peaks for 2θ = 10–90°, by angle:
- 30.59 deg, I 23
- 31.18 deg, I 11
- 43.81 deg, I 51
- 44.24 deg, I 100
- 54.75 deg, I 8
- 63.69 deg, I 16
- 80.82 deg, I 31
- 81.73 deg, I 15

Starting from the PBE geometry in Alexandria, the powder diffraction line list of MnAlNiPd was simulated for CuKα.
Kinematic intensities with the Lorentz-polarization factor, no thermal factor.

Structural model:
Unit cell a=3.948 b=3.948 c=6.919 alpha=90.00 beta=90.00 gamma=90.00
Atoms (fractional coordinates):
Mn (0.000, 0.000, 0.000)
Mn (0.500, 0.500, 0.500)
Al (0.000, 0.000, 0.500)
Al (0.500, 0.500, 0.000)
Ni (0.000, 0.500, 0.250)
Ni (0.500, 0.000, 0.750)
Pd (0.000, 0.500, 0.750)
Pd (0.500, 0.000, 0.250)

Top 8 peaks for 2θ = 10–90°, by angle:
- 25.99 deg, I 15
- 32.06 deg, I 13
- 41.57 deg, I 100
- 45.98 deg, I 37
- 52.93 deg, I 12
- 67.06 deg, I 11
- 72.68 deg, I 18
- 82.07 deg, I 25

Starting from the PBE geometry in Alexandria, the powder diffraction line list of MnAlNiPt was simulated for CuKα.
Kinematic intensities with the Lorentz-polarization factor, no thermal factor.

Structural model:
Unit cell a=3.907 b=3.907 c=7.073 alpha=90.00 beta=90.00 gamma=90.00
Atoms (fractional coordinates):
Mn (0.000, 0.000, 0.000)
Mn (0.500, 0.500, 0.500)
Al (0.000, 0.000, 0.500)
Al (0.500, 0.500, 0.000)
Ni (0.000, 0.500, 0.250)
Ni (0.500, 0.000, 0.750)
Pt (0.000, 0.500, 0.750)
Pt (0.500, 0.000, 0.250)

Top 8 peaks for 2θ = 10–90°, by angle:
- 25.18 deg, I 24
- 26.06 deg, I 49
- 32.41 deg, I 26
- 41.48 deg, I 100
- 46.49 deg, I 36
- 54.07 deg, I 14
- 72.04 deg, I 19
- 82.75 deg, I 26

Starting from the PBE geometry in Alexandria, the powder diffraction line list of NpMn4Al was simulated for CuKα.
Kinematic intensities with the Lorentz-polarization factor, no thermal factor.

Structural model:
Unit cell a=4.890 b=4.890 c=4.890 alpha=60.00 beta=60.00 gamma=60.00
Atoms (fractional coordinates):
Np (0.000, 0.000, 0.000)
Mn (0.376, 0.376, 0.376)
Mn (0.376, 0.376, 0.871)
Mn (0.376, 0.871, 0.376)
Mn (0.871, 0.376, 0.376)
Al (0.750, 0.750, 0.750)

Top 8 peaks for 2θ = 10–90°, by angle:
- 22.26 deg, I 42
- 25.76 deg, I 39
- 36.76 deg, I 50
- 43.39 deg, I 100
- 45.43 deg, I 25
- 66.20 deg, I 18
- 70.79 deg, I 31
- 78.18 deg, I 18

Starting from the PBE geometry in Alexandria, the powder diffraction line list of NpMnAlSi2 was simulated for CuKα.
Kinematic intensities with the Lorentz-polarization factor, no thermal factor.

Structural model:
Unit cell a=5.301 b=5.552 c=5.525 alpha=90.00 beta=90.00 gamma=90.00
Atoms (fractional coordinates):
Np (0.250, 0.000, 0.243)
Np (0.750, 0.000, 0.757)
Mn (0.000, 0.500, 0.000)
Mn (0.500, 0.500, 0.000)
Al (0.250, 0.500, 0.381)
Al (0.750, 0.500, 0.619)
Si (0.250, 0.230, 0.757)
Si (0.250, 0.770, 0.757)
Si (0.750, 0.230, 0.243)
Si (0.750, 0.770, 0.243)

Top 8 peaks for 2θ = 10–90°, by angle:
- 15.97 deg, I 57
- 23.25 deg, I 69
- 28.33 deg, I 100
- 32.25 deg, I 29
- 36.32 deg, I 55
- 37.61 deg, I 43
- 40.14 deg, I 91
- 47.54 deg, I 34